1.
Diffraction record for Sm2P4Ir3Pd. The powder XRD pattern is computed, not measured: it uses a structure optimized by DFT (GGA-PBE) and copper Kα.
Kinematic intensities with the Lorentz-polarization factor, no thermal factor.

Most intense lines, 10 to 80 degrees two-theta, by intensity:
two_theta	I_rel
35.55	100
42.76	45
31.38	44
28.35	29
56.79	28
73.62	17
52.10	15
62.07	15
29.88	14
67.25	13

Atomic structure:
Cell: 4.2295 4.2295 9.4386 Å, 90.00 90.00 90.00°
Fractional positions:
1 Sm 0.0000 0.5000 0.2411
2 Sm 0.5000 0.0000 0.7589
3 P 0.0000 0.0000 0.0000
4 P 0.0000 0.5000 0.6387
5 P 0.5000 0.0000 0.3613
6 P 0.5000 0.5000 0.0000
7 Ir 0.0000 0.5000 0.8887
8 Ir 0.5000 0.0000 0.1113
9 Ir 0.5000 0.5000 0.5000
10 Pd 0.0000 0.0000 0.5000

2.
Diffraction record for K2PdBr3Cl. The powder XRD pattern is computed, not measured: it uses a structure optimized by DFT (GGA-PBE) and copper Kα.
Kinematic intensities with the Lorentz-polarization factor, no thermal factor.

Most intense lines, 10 to 80 degrees two-theta, by intensity:
two_theta	I_rel
11.92	100
20.43	71
31.70	60
26.34	51
33.26	43
23.72	43
35.06	40
49.10	27
41.54	25
40.91	23

Atomic structure:
Cell: 4.3475 10.2391 10.7752 Å, 90.00 90.00 90.00°
Fractional positions:
1 K 0.0000 0.2391 0.0000
2 K 0.0000 0.2609 0.5000
3 K 0.0000 0.7391 0.5000
4 K 0.0000 0.7609 0.0000
5 Pd 0.5000 0.0000 0.2494
6 Pd 0.5000 0.5000 0.7494
7 Br 0.5000 0.0000 0.4776
8 Br 0.5000 0.2416 0.2497
9 Br 0.5000 0.2584 0.7497
10 Br 0.5000 0.5000 0.9776
11 Br 0.5000 0.7416 0.7497
12 Br 0.5000 0.7584 0.2497
13 Cl 0.5000 0.0000 0.0305
14 Cl 0.5000 0.5000 0.5305

3.
Diffraction record for Na2Sn5Pd3. The powder XRD pattern is computed, not measured: it uses a structure optimized by DFT (GGA-PBE) and copper Kα.
Kinematic intensities with the Lorentz-polarization factor, no thermal factor.

Most intense lines, 10 to 80 degrees two-theta, by intensity:
two_theta	I_rel
20.78	100
16.52	97
32.75	93
35.41	77
38.65	66
41.53	49
44.17	38
39.55	35
42.29	33
30.98	33

Atomic structure:
Cell: 9.2639 9.2639 9.2639 Å, 109.18 84.65 139.87°
Fractional positions:
1 Na 0.1655 0.2234 0.3890
2 Na 0.3345 0.7234 0.0579
3 Na 0.6655 0.2766 0.9421
4 Na 0.8345 0.7766 0.6110
5 Sn 0.0448 0.7500 0.2948
6 Sn 0.0743 0.6857 0.7600
7 Sn 0.2500 0.2500 0.0000
8 Sn 0.4257 0.1857 0.6113
9 Sn 0.4552 0.7500 0.7052
10 Sn 0.5448 0.2500 0.2948
11 Sn 0.5743 0.8143 0.3887
12 Sn 0.7500 0.7500 0.0000
13 Sn 0.9257 0.3143 0.2400
14 Sn 0.9552 0.2500 0.7052
15 Pd 0.1482 0.9153 0.0635
16 Pd 0.2500 0.7500 0.5000
17 Pd 0.3518 0.4153 0.7671
18 Pd 0.6482 0.5847 0.2329
19 Pd 0.7500 0.2500 0.5000
20 Pd 0.8518 0.0847 0.9365

4.
Diffraction record for VRe2I2. The powder XRD pattern is computed, not measured: it uses a structure optimized by DFT (GGA-PBE) and copper Kα.
Kinematic intensities with the Lorentz-polarization factor, no thermal factor.

Most intense lines, 10 to 80 degrees two-theta, by intensity:
two_theta	I_rel
14.98	100
32.51	88
42.16	87
41.02	66
30.44	42
75.51	32
55.16	29
43.90	28
21.55	22
59.40	22

Atomic structure:
Cell: 4.4008 4.4008 11.8271 Å, 90.00 90.00 90.00°
Fractional positions:
1 V 0.0000 0.0000 0.0000
2 V 0.5000 0.5000 0.5000
3 Re 0.0000 0.5000 0.2500
4 Re 0.0000 0.5000 0.7500
5 Re 0.5000 0.0000 0.2500
6 Re 0.5000 0.0000 0.7500
7 I 0.0000 0.0000 0.3682
8 I 0.0000 0.0000 0.6318
9 I 0.5000 0.5000 0.1318
10 I 0.5000 0.5000 0.8682

5.
Diffraction record for KRbLi2F4. The powder XRD pattern is computed, not measured: it uses a structure optimized by DFT (GGA-PBE) and copper Kα.
Kinematic intensities with the Lorentz-polarization factor, no thermal factor.

Most intense lines, 10 to 80 degrees two-theta, by intensity:
two_theta	I_rel
39.29	100
32.21	89
21.90	87
44.66	41
56.12	34
78.66	20
67.39	20
24.85	19
50.27	17
11.60	16

Atomic structure:
Cell: 4.0585 4.0585 7.6276 Å, 90.00 90.00 90.00°
Fractional positions:
1 K 0.0000 0.0000 0.0000
2 Rb 0.0000 0.0000 0.5000
3 Li 0.5000 0.5000 0.2352
4 Li 0.5000 0.5000 0.7648
5 F 0.0000 0.5000 0.2374
6 F 0.0000 0.5000 0.7626
7 F 0.5000 0.0000 0.2374
8 F 0.5000 0.0000 0.7626

6.
Diffraction record for YRu2Cl. The powder XRD pattern is computed, not measured: it uses a structure optimized by DFT (GGA-PBE) and copper Kα.
Kinematic intensities with the Lorentz-polarization factor, no thermal factor.

Most intense lines, 10 to 80 degrees two-theta, by intensity:
two_theta	I_rel
12.95	100
29.13	99
37.13	80
45.82	59
47.92	28
47.82	23
26.04	19
60.38	18
62.09	18
78.98	17

Atomic structure:
Cell: 3.9608 3.9608 6.8377 Å, 90.00 90.00 120.00°
Fractional positions:
1 Y 0.0000 0.0000 0.0000
2 Ru 0.3333 0.6667 0.6511
3 Ru 0.6667 0.3333 0.7467
4 Cl 0.3333 0.6667 0.2595

7.
Diffraction record for Pm5HPb5. The powder XRD pattern is computed, not measured: it uses a structure optimized by DFT (GGA-PBE) and copper Kα.
Kinematic intensities with the Lorentz-polarization factor, no thermal factor.

Most intense lines, 10 to 80 degrees two-theta, by intensity:
two_theta	I_rel
32.63	100
31.31	38
28.36	35
38.71	28
40.67	23
33.92	21
57.40	17
30.23	17
20.01	16
62.79	14

Atomic structure:
Cell: 9.3787 9.3787 9.3787 Å, 151.28 123.54 64.57°
Fractional positions:
1 Pm 0.0000 0.0000 0.0000
2 Pm 0.0941 0.3564 0.7378
3 Pm 0.3814 0.6436 0.7378
4 Pm 0.6186 0.3564 0.2622
5 Pm 0.9059 0.6436 0.2622
6 H 0.0000 0.5000 0.5000
7 Pb 0.1980 0.1980 0.0000
8 Pb 0.3430 0.8430 0.5000
9 Pb 0.5000 0.5000 0.0000
10 Pb 0.6570 0.1570 0.5000
11 Pb 0.8020 0.8020 0.0000

8.
Diffraction record for Mn9Co4N. The powder XRD pattern is computed, not measured: it uses a structure optimized by DFT (GGA-PBE) and copper Kα.
Kinematic intensities with the Lorentz-polarization factor, no thermal factor.

Most intense lines, 10 to 80 degrees two-theta, by intensity:
two_theta	I_rel
46.44	100
45.53	99
48.71	44
41.27	41
79.98	22
43.56	22
78.41	21
38.20	20
14.21	15
50.73	11

Atomic structure:
Cell: 7.1978 7.1978 7.0082 Å, 90.00 90.00 120.00°
Fractional positions:
1 Mn 0.0968 0.5484 0.2500
2 Mn 0.2089 0.4177 0.5665
3 Mn 0.2089 0.4177 0.9335
4 Mn 0.2089 0.7911 0.5665
5 Mn 0.2089 0.7911 0.9335
6 Mn 0.4177 0.2089 0.0665
7 Mn 0.4177 0.2089 0.4335
8 Mn 0.4516 0.5484 0.2500
9 Mn 0.4516 0.9032 0.2500
10 Mn 0.5484 0.0968 0.7500
11 Mn 0.5484 0.4516 0.7500
12 Mn 0.5823 0.7911 0.5665
13 Mn 0.5823 0.7911 0.9335
14 Mn 0.7911 0.2089 0.0665
15 Mn 0.7911 0.2089 0.4335
16 Mn 0.7911 0.5823 0.0665
17 Mn 0.7911 0.5823 0.4335
18 Mn 0.9032 0.4516 0.7500
19 Co 0.0000 0.0000 0.0000
20 Co 0.0000 0.0000 0.5000
21 Co 0.1171 0.2342 0.2500
22 Co 0.1171 0.8829 0.2500
23 Co 0.2342 0.1171 0.7500
24 Co 0.7658 0.8829 0.2500
25 Co 0.8829 0.1171 0.7500
26 Co 0.8829 0.7658 0.7500
27 N 0.3333 0.6667 0.7500
28 N 0.6667 0.3333 0.2500

9.
Diffraction record for Pr4Nd3Tm5. The powder XRD pattern is computed, not measured: it uses a structure optimized by DFT (GGA-PBE) and copper Kα.
Kinematic intensities with the Lorentz-polarization factor, no thermal factor.

Most intense lines, 10 to 80 degrees two-theta, by intensity:
two_theta	I_rel
30.29	100
35.11	45
30.42	33
50.61	24
60.03	24
35.23	22
60.16	19
50.44	16
60.29	9
62.97	8

Atomic structure:
Cell: 6.2623 7.2095 8.8438 Å, 89.69 89.91 89.83°
Fractional positions:
1 Pr 0.1651 0.2485 0.3343
2 Pr 0.3293 0.5001 0.6668
3 Pr 0.6707 0.4999 0.3332
4 Pr 0.8349 0.7515 0.6657
5 Nd 0.0000 0.0000 0.0000
6 Nd 0.4965 0.7518 0.0012
7 Nd 0.5035 0.2482 0.9988
8 Tm 0.0000 0.5000 0.0000
9 Tm 0.1685 0.7529 0.3338
10 Tm 0.3357 0.0005 0.6647
11 Tm 0.6643 0.9995 0.3353
12 Tm 0.8315 0.2471 0.6662

10.
Diffraction record for Rb3PtCl8. The powder XRD pattern is computed, not measured: it uses a structure optimized by DFT (GGA-PBE) and copper Kα.
Kinematic intensities with the Lorentz-polarization factor, no thermal factor.

Most intense lines, 10 to 80 degrees two-theta, by intensity:
two_theta	I_rel
22.99	100
14.56	58
29.35	55
35.84	40
17.70	34
41.81	32
37.81	27
20.82	23
20.47	22
57.19	22

Atomic structure:
Cell: 10.0218 10.0218 8.5350 Å, 90.00 90.00 120.00°
Fractional positions:
1 Rb 0.1515 0.3029 0.0000
2 Rb 0.1515 0.8485 0.0000
3 Rb 0.3029 0.1515 0.5000
4 Rb 0.6971 0.8485 0.0000
5 Rb 0.8485 0.1515 0.5000
6 Rb 0.8485 0.6971 0.5000
7 Pt 0.3333 0.6667 0.4321
8 Pt 0.6667 0.3333 0.9321
9 Cl 0.0000 0.0000 0.2521
10 Cl 0.0000 0.0000 0.7521
11 Cl 0.1130 0.5565 0.2750
12 Cl 0.2220 0.4441 0.5901
13 Cl 0.2220 0.7780 0.5901
14 Cl 0.3333 0.6667 0.9295
15 Cl 0.4441 0.2220 0.0901
16 Cl 0.4435 0.5565 0.2750
17 Cl 0.4435 0.8870 0.2750
18 Cl 0.5565 0.1130 0.7750
19 Cl 0.5565 0.4435 0.7750
20 Cl 0.5559 0.7780 0.5901
21 Cl 0.6667 0.3333 0.4295
22 Cl 0.7780 0.2220 0.0901
23 Cl 0.7780 0.5559 0.0901
24 Cl 0.8870 0.4435 0.7750